The following is a calculated powder XRD pattern of Tl3VAs2O8. It was derived from a cell relaxed with PBE+U, using Cu Kα, 1.54184 Å.
Intensities are scaled so that the largest is 100.

Principal peaks in the range 10 to 80 degrees two-theta, sorted by position:
(1 0 1), 2θ 20.96, rel. 31
(1 0 2), 2θ 28.17, rel. 100
(1 1 0), 2θ 31.36, rel. 91
(0 1 3), 2θ 37.40, rel. 18
(0 2 1), 2θ 38.03, rel. 16
(0 2 2), 2θ 42.66, rel. 33
(2 1 2), 2θ 53.89, rel. 34
(1 1 4), 2θ 54.90, rel. 28
(3 0 0), 2θ 55.83, rel. 18
(2 2 0), 2θ 65.45, rel. 14

Structural model:
Cell: 5.704 5.704 8.258 Å, 90.00 90.00 120.00°
Fractional positions:
Tl: 0.000 0.000 0.000
Tl: 0.333 0.667 0.769
Tl: 0.667 0.333 0.231
V: 0.000 0.000 0.500
As: 0.333 0.667 0.290
As: 0.667 0.333 0.710
O: 0.166 0.332 0.351
O: 0.166 0.834 0.351
O: 0.332 0.166 0.649
O: 0.333 0.667 0.084
O: 0.667 0.333 0.916
O: 0.668 0.834 0.351
O: 0.834 0.166 0.649
O: 0.834 0.668 0.649